The following is a computed X-ray powder pattern of VFeP2O8. It was derived from a DFT-relaxed cell (PBE+U, the Materials Project), using Cu Kα (weighted mean of Kα1 and Kα2).

Main lines, in order of falling intensity (10 to 90 degrees two-theta):
- 2θ = 20.1°, rel. 100, hkl 1 0 1
- 2θ = 25.2°, rel. 82, hkl 1 1 -1
- 2θ = 17.7°, rel. 74, hkl 0 0 2
- 2θ = 30.2°, rel. 73, hkl 0 2 0
- 2θ = 35.8°, rel. 52, hkl 1 1 -3
- 2θ = 35.9°, rel. 49, hkl 1 1 3

Structure:
```
data_VFeP2O8
_chemical_formula_sum 'V2 Fe2 P4 O16'
_symmetry_space_group_name_H-M 'P 1 21/m 1'
_symmetry_Int_Tables_number 11
_cell_length_a 4.9127
_cell_length_b 5.9167
_cell_length_c 10.0482
_cell_angle_alpha 90.00
_cell_angle_beta 90.15
_cell_angle_gamma 90.00
loop_
_symmetry_equiv_pos_as_xyz
'x,y,z'
'-x,-y,-z'
'-x,y+1/2,-z'
'x,-y+1/2,z'
loop_
_atom_site_label
_atom_site_fract_x
_atom_site_fract_y
_atom_site_fract_z
V1 0.0230 0.2500 0.2284
Fe1 0.4706 0.2500 0.7274
P1 0.0849 0.7500 0.0988
P2 0.4142 0.7500 0.5962
O1 0.1423 0.7500 0.9497
O2 0.2218 0.2500 0.8768
O3 0.2340 0.5482 0.1718
O4 0.2658 0.5470 0.6699
O5 0.2826 0.2500 0.3758
O6 0.3554 0.7500 0.4475
```

***

The following is a computed X-ray powder pattern of Mn7Fe3O20. It was derived from a DFT-relaxed cell (PBE+U, the Materials Project), using Cu Kα (weighted mean of Kα1 and Kα2).

Main lines, in order of falling intensity (10 to 90 degrees two-theta):
- 2θ = 18.4°, rel. 100, hkl 0 0 5
- 2θ = 18.6°, rel. 95, hkl 1 1 -2
- 2θ = 43.6°, rel. 64, hkl 2 2 6
- 2θ = 35.7°, rel. 34, hkl 1 1 8
- 2θ = 63.2°, rel. 33, hkl 2 2 -14
- 2θ = 43.4°, rel. 32, hkl 4 0 -8

Structure:
```
data_Mn7Fe3O20
_chemical_formula_sum 'Mn28 Fe12 O80'
_symmetry_space_group_name_H-M 'C 1 2/m 1'
_symmetry_Int_Tables_number 12
_cell_length_a 10.2266
_cell_length_b 5.8253
_cell_length_c 24.3774
_cell_angle_alpha 90.00
_cell_angle_beta 97.79
_cell_angle_gamma 90.00
loop_
_symmetry_equiv_pos_as_xyz
'x,y,z'
'-x,-y,-z'
'-x,y,-z'
'x,-y,z'
'x+1/2,y+1/2,z'
'-x+1/2,-y+1/2,-z'
'-x+1/2,y+1/2,-z'
'x+1/2,-y+1/2,z'
loop_
_atom_site_label
_atom_site_fract_x
_atom_site_fract_y
_atom_site_fract_z
Mn1 0.0507 0.2473 0.4001
Mn2 0.1481 0.2483 0.1998
Mn3 0.1994 0.5000 0.5997
Mn4 0.2031 0.5000 0.1000
Mn5 0.2500 0.2500 0.0000
Fe1 0.0000 0.5000 0.0000
Fe2 0.0000 0.5000 0.5000
Fe3 0.0979 0.0000 0.3001
Fe4 0.1021 0.0000 0.7998
O1 0.0083 0.2281 0.2464
O2 0.0296 0.0000 0.6449
O3 0.0467 0.5000 0.6404
O4 0.0546 0.0000 0.1591
O5 0.0702 0.5000 0.1530
O6 0.0911 0.2806 0.5543
O7 0.1106 0.2759 0.0478
O8 0.1306 0.5000 0.4454
O9 0.1450 0.0000 0.4407
O10 0.1586 0.5000 0.9591
O11 0.1740 0.0000 0.9531
O12 0.1923 0.2190 0.3548
O13 0.2139 0.2235 0.8475
O14 0.2277 0.0000 0.2456
O15 0.2410 0.5000 0.2412
```